For Mn3O2F4, the PBE+U geometry in Alexandria gives the calculated powder diffraction line list in this record (Cu Kα, 1.54184 Å).
No peak broadening, texture or thermal motion is included.

The 12 most intense peaks (10° ≤ 2θ ≤ 80°), sorted by position:
hkl  d [Å]  two_theta  I/Imax
2 0 -2  3.578  24.88  100.0
0 2 0  3.239  27.54  79.9
1 1 2  2.652  33.79  89.1
0 0 3  2.378  37.84  18.0
2 2 1  2.270  39.71  17.5
1 1 -4  1.832  49.78  34.0
5 1 -2  1.830  49.83  33.8
4 0 -4  1.789  51.05  19.3
1 3 2  1.734  52.81  44.8
4 0 2  1.591  57.97  17.4
1 3 -4  1.430  65.22  20.3
5 3 -2  1.429  65.29  30.8

Structure:
```
data_Mn3O2F4
_space_group_name_H-M_alt 'C 1 2 1'
_space_group_IT_number 5
_space_group_name_Hall 'C 2y'
_cell_length_a 9.572
_cell_length_b 6.478
_cell_length_c 7.835
_cell_angle_alpha 90.00
_cell_angle_beta 114.37
_cell_angle_gamma 90.00
loop_
_atom_site_label
_atom_site_type_symbol
_atom_site_fract_x
_atom_site_fract_y
_atom_site_fract_z
Mn1 Mn 0.000 0.000 0.000
Mn2 Mn 0.000 0.004 0.500
Mn3 Mn 0.156 0.500 0.158
Mn4 Mn 0.171 0.469 0.671
O1 O 0.000 0.304 0.000
O2 O 0.000 0.696 0.000
O3 O 0.178 0.178 0.676
F1 F 0.063 0.481 0.377
F2 F 0.102 0.988 0.298
F3 F 0.174 0.782 0.673
F4 F 0.229 0.991 0.039
```